[1]
Simulated powder diffraction line list of Mn3BiO8 for λ = 1.5418 Å (Cu Kα), from a structure optimized by DFT (GGA+U).

Structure:
Lattice parameters (Å, degrees): 5.8120 5.8120 16.5191 90.00 90.00 120.00
Space group R-3m (No. 166, hexagonal axes)
Inequivalent atoms, fractional coordinates:
Mn: 0.0000 0.5000 0.0000 [9 per cell]
Bi: 0.0000 0.0000 0.5000 [3 per cell]
O: 0.0000 0.0000 0.2734 [6 per cell]
O: 0.0235 0.5118 0.2686 [18 per cell]

Top 10 peaks for 2θ from 10° to 90°, by intensity:
hkl 1 0 1, 18.43 deg, intensity 100
hkl 0 2 4, 42.04 deg, intensity 38
hkl 1 1 3, 34.91 deg, intensity 37
hkl 0 1 5, 32.42 deg, intensity 22
hkl 0 1 2, 20.67 deg, intensity 21
hkl 2 0 2, 37.35 deg, intensity 14
hkl 2 1 1, 48.15 deg, intensity 14
hkl 2 0 8, 57.75 deg, intensity 12
hkl 1 2 5, 55.76 deg, intensity 11
hkl 1 0 7, 42.30 deg, intensity 10



[2]
Simulated powder diffraction line list of K3Na5VMo7O24 for λ = 1.5418 Å (Cu Kα), from a structure optimized by DFT (GGA+U).

Structure:
Lattice parameters (Å, degrees): 11.236 11.223 7.917 90.00 90.08 90.00
Space group Cm (No. 8)
Inequivalent atoms, fractional coordinates:
K: 0.000 0.000 0.000 [2 per cell]
K: 0.248 0.248 0.000 [4 per cell]
Na: 0.001 0.000 0.491 [2 per cell]
Na: 0.248 0.247 0.491 [4 per cell]
Na: 0.495 0.000 0.001 [2 per cell]
Na: 0.495 0.000 0.491 [2 per cell]
V: 0.249 0.000 0.248 [2 per cell]
Mo: 0.247 0.500 0.247 [2 per cell]
Mo: 0.247 0.500 0.745 [2 per cell]
Mo: 0.248 0.000 0.744 [2 per cell]
Mo: 0.498 0.249 0.248 [4 per cell]
Mo: 0.498 0.249 0.744 [4 per cell]
O: 0.117 0.371 0.743 [4 per cell]
O: 0.119 0.373 0.249 [4 per cell]
O: 0.121 0.127 0.250 [4 per cell]
O: 0.127 0.121 0.741 [4 per cell]
O: 0.246 0.500 0.007 [2 per cell]
O: 0.247 0.500 0.487 [2 per cell]
O: 0.248 0.000 0.490 [2 per cell]
O: 0.250 0.000 0.000 [2 per cell]
O: 0.370 0.121 0.743 [4 per cell]
O: 0.375 0.125 0.249 [4 per cell]
O: 0.376 0.372 0.250 [4 per cell]
O: 0.378 0.370 0.741 [4 per cell]
O: 0.498 0.248 0.002 [4 per cell]
O: 0.498 0.249 0.491 [4 per cell]

Top 10 peaks for 2θ from 10° to 90°, by intensity:
hkl 4 0 0, 31.91 deg, intensity 100
hkl 2 2 0, 22.42 deg, intensity 69
hkl 4 4 0, 45.71 deg, intensity 30
hkl 6 2 2, 56.84 deg, intensity 28
hkl 6 2 0, 51.48 deg, intensity 17
hkl 4 4 4, 66.74 deg, intensity 16
hkl 0 0 4, 45.85 deg, intensity 15
hkl 8 4 0, 75.78 deg, intensity 11
hkl 4 0 4, 56.94 deg, intensity 9
hkl 2 2 4, 51.60 deg, intensity 9



[3]
Simulated powder diffraction line list of Sr3La7Ti2Mn8O30 for λ = 1.5418 Å (Cu Kα), from a structure optimized by DFT (GGA+U).

Structure:
Lattice parameters (Å, degrees): 5.566 9.683 12.468 75.37 77.75 73.65
Space group P1 (No. 1)
Inequivalent atoms, fractional coordinates:
Sr: 0.000 0.000 0.000 [1 per cell]
Sr: 0.198 0.400 0.202 [1 per cell]
Sr: 0.400 0.800 0.403 [1 per cell]
La: 0.001 0.499 0.501 [1 per cell]
La: 0.200 0.901 0.701 [1 per cell]
La: 0.400 0.301 0.901 [1 per cell]
La: 0.599 0.697 0.099 [1 per cell]
La: 0.602 0.199 0.599 [1 per cell]
La: 0.801 0.601 0.801 [1 per cell]
La: 0.802 0.103 0.303 [1 per cell]
Ti: 0.401 0.052 0.151 [1 per cell]
Ti: 0.999 0.749 0.252 [1 per cell]
Mn: 0.200 0.651 0.951 [1 per cell]
Mn: 0.201 0.151 0.451 [1 per cell]
Mn: 0.399 0.550 0.651 [1 per cell]
Mn: 0.599 0.950 0.851 [1 per cell]
Mn: 0.601 0.450 0.350 [1 per cell]
Mn: 0.801 0.849 0.551 [1 per cell]
Mn: 0.802 0.349 0.051 [1 per cell]
Mn: 0.999 0.250 0.752 [1 per cell]
O: 0.044 0.477 0.986 [1 per cell]
O: 0.068 0.181 0.128 [1 per cell]
O: 0.090 0.237 0.587 [1 per cell]
O: 0.107 0.674 0.112 [1 per cell]
O: 0.127 0.710 0.584 [1 per cell]
O: 0.151 0.423 0.713 [1 per cell]
O: 0.252 0.875 0.188 [1 per cell]
O: 0.253 0.593 0.326 [1 per cell]
O: 0.288 0.635 0.791 [1 per cell]
O: 0.312 0.070 0.309 [1 per cell]
O: 0.336 0.114 0.776 [1 per cell]
O: 0.365 0.820 0.908 [1 per cell]
O: 0.451 0.275 0.393 [1 per cell]
O: 0.466 0.991 0.529 [1 per cell]
O: 0.483 0.040 0.991 [1 per cell]
O: 0.512 0.464 0.512 [1 per cell]
O: 0.533 0.513 0.978 [1 per cell]
O: 0.557 0.216 0.112 [1 per cell]
O: 0.656 0.673 0.592 [1 per cell]
O: 0.661 0.386 0.725 [1 per cell]
O: 0.686 0.437 0.189 [1 per cell]
O: 0.710 0.866 0.713 [1 per cell]
O: 0.727 0.910 0.182 [1 per cell]
O: 0.764 0.624 0.309 [1 per cell]
O: 0.847 0.075 0.784 [1 per cell]
O: 0.859 0.784 0.923 [1 per cell]
O: 0.892 0.840 0.384 [1 per cell]
O: 0.906 0.274 0.911 [1 per cell]
O: 0.927 0.307 0.384 [1 per cell]
O: 0.950 0.023 0.515 [1 per cell]

Top 10 peaks for 2θ from 10° to 90°, by intensity:
hkl 2 1 1, 32.17 deg, intensity 100
hkl 1 1 -3, 31.91 deg, intensity 97
hkl 2 -2 2, 45.94 deg, intensity 64
hkl 3 2 -2, 57.02 deg, intensity 40
hkl 0 4 2, 39.40 deg, intensity 26
hkl 1 2 0, 22.51 deg, intensity 24
hkl 3 4 4, 57.52 deg, intensity 19
hkl 2 2 -6, 66.69 deg, intensity 17
hkl 1 4 -4, 56.88 deg, intensity 15
hkl 4 -1 3, 76.41 deg, intensity 14



[4]
Simulated powder diffraction line list of Ni3Te2O8 for λ = 1.5418 Å (Cu Kα), from a structure optimized by DFT (GGA+U).

Structure:
Lattice parameters (Å, degrees): 12.866 4.958 12.877 90.00 119.96 90.00
Space group P2_1 (No. 4)
Inequivalent atoms, fractional coordinates:
Ni: 0.069 0.000 0.140 [2 per cell]
Ni: 0.070 0.000 0.428 [2 per cell]
Ni: 0.141 0.502 0.572 [2 per cell]
Ni: 0.142 0.500 0.069 [2 per cell]
Ni: 0.428 0.500 0.069 [2 per cell]
Ni: 0.428 0.500 0.860 [2 per cell]
Te: 0.167 0.386 0.833 [2 per cell]
Te: 0.226 0.571 0.362 [2 per cell]
Te: 0.363 0.065 0.225 [2 per cell]
Te: 0.364 0.071 0.639 [2 per cell]
O: 0.021 0.197 0.543 [2 per cell]
O: 0.022 0.196 0.978 [2 per cell]
O: 0.089 0.804 0.294 [2 per cell]
O: 0.097 0.611 0.694 [2 per cell]
O: 0.097 0.612 0.903 [2 per cell]
O: 0.180 0.328 0.231 [2 per cell]
O: 0.180 0.329 0.449 [2 per cell]
O: 0.229 0.826 0.177 [2 per cell]
O: 0.231 0.828 0.552 [2 per cell]
O: 0.294 0.298 0.087 [2 per cell]
O: 0.294 0.303 0.706 [2 per cell]
O: 0.306 0.612 0.903 [2 per cell]
O: 0.449 0.825 0.177 [2 per cell]
O: 0.449 0.826 0.770 [2 per cell]
O: 0.456 0.196 0.978 [2 per cell]
O: 0.466 0.670 0.452 [2 per cell]

Top 10 peaks for 2θ from 10° to 90°, by intensity:
hkl 2 0 -4, 27.76 deg, intensity 100
hkl 0 1 2, 24.01 deg, intensity 84
hkl 4 1 0, 36.99 deg, intensity 76
hkl 3 2 2, 51.32 deg, intensity 49
hkl 0 1 1, 19.60 deg, intensity 48
hkl 5 0 -2, 35.08 deg, intensity 29
hkl 2 1 -7, 54.64 deg, intensity 29
hkl 1 1 3, 34.17 deg, intensity 29
hkl 1 0 1, 13.76 deg, intensity 25
hkl 8 1 -5, 61.11 deg, intensity 25



[5]
Simulated powder diffraction line list of La4FeSe6O for λ = 1.5418 Å (Cu Kα), from a structure optimized by DFT (GGA+U).

Structure:
Lattice parameters (Å, degrees): 9.7944 9.7944 7.1145 90.00 90.00 120.00
Space group P6_3mc (No. 186)
Inequivalent atoms, fractional coordinates:
La: 0.1994 0.3988 0.0000 [6 per cell]
La: 0.3333 0.6667 0.5483 [2 per cell]
Fe: 0.0000 0.0000 0.3324 [2 per cell]
Se: 0.0588 0.5294 0.2862 [6 per cell]
Se: 0.1232 0.2463 0.6043 [6 per cell]
O: 0.3333 0.6667 0.8835 [2 per cell]

Top 10 peaks for 2θ from 10° to 90°, by intensity:
hkl 2 0 2, 32.86 deg, intensity 100
hkl 3 0 1, 34.12 deg, intensity 73
hkl 2 1 1, 30.59 deg, intensity 62
hkl 2 0 1, 24.43 deg, intensity 57
hkl 2 2 0, 36.70 deg, intensity 56
hkl 2 0 3, 43.73 deg, intensity 30
hkl 2 1 2, 37.78 deg, intensity 22
hkl 3 3 0, 56.36 deg, intensity 19
hkl 3 2 3, 61.65 deg, intensity 19
hkl 0 0 2, 25.03 deg, intensity 16